This entry pairs a crystal structure of CsMnP4O12 with its theoretical X-ray diffraction stick pattern. Radiation: Cu Ka. Structure: a crystal structure in Alexandria, relaxed with GGA+U.
Lines closer than 0.1° are merged.

Structure:
```
36
Lattice="5.3263 0.0000 0.0000 0.0000 13.8621 0.0000 -1.6224 0.0000 7.4182" Properties=species:S:1:pos:R:3 pbc="T T T"
Cs 0.0518 0.0000 2.4712
Cs 3.6521 6.9311 4.9470
Mn 0.0039 10.1687 0.0831
Mn 3.7001 3.2377 7.3351
P 0.9368 4.3914 2.6989
P 1.2853 9.3871 2.9667
P 1.1403 1.3003 6.8769
P 2.5467 5.1804 0.4320
P 2.5636 8.2314 0.5413
P 1.1573 12.1114 6.9862
P 2.4186 2.4560 4.4515
P 2.7672 11.3225 4.7193
O 0.2587 9.9778 2.0048
O 0.3308 3.2764 1.8359
O 0.1477 5.5857 3.0421
O -0.2972 1.4323 7.2451
O -0.2680 11.9735 7.4011
O -0.1127 4.4414 7.0093
O -0.0640 9.0481 7.1651
O 0.8400 8.6107 4.1365
O 2.0615 6.7165 0.3479
O 1.4795 3.7184 4.0507
O 1.3424 1.5666 5.3065
O 1.3429 11.7404 5.4390
O 2.3610 4.8093 1.9791
O 2.3616 8.4976 2.1116
O 2.2244 10.6494 3.3674
O 1.6425 13.6476 7.0703
O 2.8639 1.6796 3.2817
O 3.7679 2.1171 0.2530
O 3.8167 11.3724 0.4088
O 3.9720 5.0425 0.0171
O 4.0011 8.3633 0.1731
O 3.5562 12.5168 4.3761
O 3.3731 10.2074 5.5823
O 3.4453 3.0468 5.4134
```

The 10 most intense peaks (2θ = 15–90°), in order of falling intensity:
22.66°, I 100.0; 26.31°, I 85.7; 30.97°, I 83.3; 19.70°, I 52.5; 25.78°, I 39.0; 23.77°, I 29.1; 36.33°, I 27.9; 26.88°, I 25.8; 22.88°, I 22.7; 24.85°, I 21.9